Structure and simulated powder diffraction line list of MgV8O8F8 (the PBE+U geometry in Alexandria; a wavelength of 1.5418 Å).
Lines closer than 0.1° are merged.

Structural model:
Cell: 4.9461 5.6970 10.6379 Å, 96.03 92.17 94.43°
Space group P1 (No. 1)
Inequivalent atoms, fractional coordinates:
Mg1 0.0000 0.0000 0.0000 x1
V1 0.0110 0.5567 0.8567 x1
V2 0.0148 0.8270 0.6013 x1
V3 0.4576 0.5984 0.3789 x1
V4 0.4647 0.8403 0.1168 x1
V5 0.4950 0.0874 0.8620 x1
V6 0.5120 0.3332 0.6255 x1
V7 0.9006 0.4145 0.1662 x1
V8 0.9739 0.0942 0.3699 x1
O1 0.1750 0.8169 0.4452 x1
O2 0.2641 0.5642 0.2048 x1
O3 0.2865 0.8103 0.9332 x1
O4 0.3022 0.0627 0.6957 x1
O5 0.6740 0.6143 0.5568 x1
O6 0.6821 0.1549 0.0415 x1
O7 0.7030 0.3569 0.7979 x1
O8 0.7483 0.3799 0.3168 x1
F1 0.1438 0.0492 0.1812 x1
F2 0.1875 0.2905 0.9358 x1
F3 0.1942 0.5475 0.6891 x1
F4 0.2845 0.3161 0.4568 x1
F5 0.6608 0.8642 0.2937 x1
F6 0.7924 0.1142 0.5500 x1
F7 0.8176 0.6602 0.0368 x1
F8 0.8218 0.8666 0.8124 x1

Peak list (10 most intense, 10 to 80 degrees two-theta, low angle first)
d/Å	2θ (°)	Rel. int.	hkl
3.592	24.8	89	-1 1 1
3.282	27.2	100	1 1 1
2.656	33.7	33	1 -1 3
2.644	33.9	56	1 1 -3
2.610	34.4	29	0 2 -2
1.796	50.8	20	-2 2 2
1.742	52.5	20	1 1 5
1.722	53.2	21	1 3 -1
1.641	56.0	25	2 2 2
1.573	58.7	23	0 2 -6